Record 1
Diffraction record for InCo2Cu. The powder diffractogram is computed, not measured: it uses a cell relaxed with GGA-PBE and λ = 1.5418 Å (Cu Kα).
No peak broadening, texture or thermal motion is included.

Largest 8 diffraction maxima, most intense first, 2θ from 10° to 90°:
- 2θ 42.88, I = 100
- 2θ 43.28, I = 94
- 2θ 41.95, I = 65
- 2θ 40.62, I = 45
- 2θ 45.98, I = 32
- 2θ 59.82, I = 27
- 2θ 32.80, I = 20
- 2θ 33.05, I = 16

Cell and atoms:
```
InCo2Cu
1.0
4.4419 0.0000 0.0000
0.0000 4.3075 0.0000
-0.0725 0.0000 5.7203
In Co Cu
2 4 2
Direct
0.0000 0.0000 0.0000
0.4421 0.5000 0.9866
0.4147 0.5000 0.4769
0.5290 0.0000 0.2784
0.9141 0.5000 0.2837
0.9174 0.5000 0.7057
0.0440 0.0000 0.4959
0.5405 0.0000 0.7058
```

=====

Record 2
Diffraction record for NaLa2Au3. The powder diffractogram is computed, not measured: it uses a cell relaxed with GGA-PBE and λ = 1.5418 Å (Cu Kα).
No peak broadening, texture or thermal motion is included.

Largest 8 diffraction maxima, most intense first, 2θ from 10° to 90°:
- 2θ 34.23, I = 100
- 2θ 33.84, I = 52
- 2θ 60.79, I = 38
- 2θ 48.61, I = 19
- 2θ 61.54, I = 18
- 2θ 23.75, I = 13
- 2θ 72.11, I = 11
- 2θ 81.20, I = 9

Cell and atoms:
```
NaLa2Au3
1.0
3.7462 0.0000 0.0000
0.0000 3.7462 0.0000
0.0000 0.0000 10.9934
Na La Au
1 2 3
Direct
0.0000 0.0000 0.0000
0.0000 0.0000 0.3224
0.0000 0.0000 0.6776
0.5000 0.5000 0.1647
0.5000 0.5000 0.5000
0.5000 0.5000 0.8353
```

=====

Record 3
Diffraction record for Li7In3Ga. The powder diffractogram is computed, not measured: it uses a cell relaxed with GGA-PBE and λ = 1.5418 Å (Cu Kα).
No peak broadening, texture or thermal motion is included.

Largest 8 diffraction maxima, most intense first, 2θ from 10° to 90°:
- 2θ 22.44, I = 100
- 2θ 14.91, I = 80
- 2θ 32.64, I = 75
- 2θ 28.92, I = 69
- 2θ 20.74, I = 67
- 2θ 40.69, I = 65
- 2θ 36.91, I = 64
- 2θ 30.78, I = 50

Cell and atoms:
```
Li7In3Ga
1.0
1.4632 -11.8869 0.0000
1.4632 11.8869 0.0000
0.0000 0.0000 12.3508
Li In Ga
14 6 2
Direct
0.0483 0.9517 0.5782
0.0483 0.9517 0.9218
0.0702 0.9298 0.1399
0.0702 0.9298 0.3601
0.1336 0.8664 0.7500
0.2426 0.7574 0.1136
0.2426 0.7574 0.3864
0.7574 0.2426 0.6136
0.7574 0.2426 0.8864
0.8664 0.1336 0.2500
0.9298 0.0702 0.6399
0.9298 0.0702 0.8601
0.9517 0.0483 0.0782
0.9517 0.0483 0.4218
0.3381 0.6619 0.7500
0.3513 0.6487 0.0170
0.3513 0.6487 0.4830
0.6487 0.3513 0.5170
0.6487 0.3513 0.9830
0.6619 0.3381 0.2500
0.4842 0.5158 0.2500
0.5158 0.4842 0.7500
```